[1]
Theoretical powder diffractogram
Compound: Gd2Zn17
Radiation: Cu Kα (λ = 1.5418 Å)
Structure: a PBE-relaxed structure
Neutral-atom scattering factors, no anomalous dispersion.

Largest 8 diffraction maxima, in order of rising 2θ, 2θ from 15° to 90°:
Position (°2θ)  I_rel
28.42  25
34.20  41
38.58  32
39.70  59
40.16  100
41.53  32
45.04  30
74.83  25

Structure:
```
data_Gd2Zn17
_cell_length_a 9.082
_cell_length_b 15.730
_cell_length_c 8.698
_cell_angle_alpha 90.00
_cell_angle_beta 90.00
_cell_angle_gamma 90.00
_symmetry_space_group_name_H-M 'C m c m'
_symmetry_Int_Tables_number 63
_symmetry_space_group_name_Hall '-C 2c 2'
loop_
_atom_site_label
_atom_site_type_symbol
_atom_site_fract_x
_atom_site_fract_y
_atom_site_fract_z
_atom_site_occupancy
Gd1 Gd 0.000 0.000 0.250 1
Gd2 Gd 0.000 0.333 0.250 1
Zn1 Zn 0.000 0.162 0.017 1
Zn2 Zn 0.000 0.333 0.598 1
Zn3 Zn 0.000 0.500 0.000 1
Zn4 Zn 0.147 0.182 0.750 1
Zn5 Zn 0.153 0.483 0.750 1
Zn6 Zn 0.199 0.165 0.250 1
Zn7 Zn 0.243 0.081 0.518 1
Zn8 Zn 0.250 0.250 0.000 1
```



[2]
Theoretical powder diffractogram
Compound: Cs3Na2SnP3
Radiation: Cu Kα (λ = 1.5418 Å)
Structure: a PBE-relaxed structure
Neutral-atom scattering factors, no anomalous dispersion.

Largest 8 diffraction maxima, in order of rising 2θ, 2θ from 15° to 90°:
Position (°2θ)  I_rel
21.13  56
27.94  33
28.09  34
28.27  100
36.84  50
47.17  23
49.89  22
51.49  24

Structure:
```
data_Cs3Na2SnP3
_cell_length_a 20.637
_cell_length_b 6.923
_cell_length_c 16.558
_cell_angle_alpha 90.00
_cell_angle_beta 90.00
_cell_angle_gamma 90.00
_symmetry_space_group_name_H-M 'C m c e'
_symmetry_Int_Tables_number 64
_symmetry_space_group_name_Hall '-C 2ac 2'
loop_
_atom_site_label
_atom_site_type_symbol
_atom_site_fract_x
_atom_site_fract_y
_atom_site_fract_z
_atom_site_occupancy
Cs1 Cs 0.000 0.233 0.179 1
Cs2 Cs 0.167 0.226 0.827 1
Na1 Na 0.081 0.000 0.000 1
Na2 Na 0.246 0.000 0.000 1
Sn1 Sn 0.087 0.000 0.500 1
P1 P 0.000 0.201 0.418 1
P2 P 0.157 0.218 0.591 1
```



[3]
Theoretical powder diffractogram
Compound: Ba
Radiation: Cu Kα (λ = 1.5418 Å)
Structure: a PBE-relaxed structure
Neutral-atom scattering factors, no anomalous dispersion.

Largest 8 diffraction maxima, in order of rising 2θ, 2θ from 15° to 90°:
Position (°2θ)  I_rel
24.48  53
25.08  100
34.90  21
43.46  45
44.54  21
51.48  14
69.32  11
70.66  11

Structure:
```
data_Ba
_cell_length_a 7.265
_cell_length_b 4.909
_cell_length_c 7.278
_cell_angle_alpha 90.00
_cell_angle_beta 90.00
_cell_angle_gamma 90.00
_symmetry_space_group_name_H-M 'C m c m'
_symmetry_Int_Tables_number 63
_symmetry_space_group_name_Hall '-C 2c 2'
loop_
_atom_site_label
_atom_site_type_symbol
_atom_site_fract_x
_atom_site_fract_y
_atom_site_fract_z
_atom_site_occupancy
Ba1 Ba 0.000 0.244 0.250 1
```